Record 1
Diffraction record for Na6Mn3P4O16. The powder diffraction line list is theoretical, not measured: it uses a crystal structure in the Materials Project, relaxed with GGA+U and copper Kα.
Peak positions follow from Bragg's law for the DFT cell and can differ from measured ones.

Cell and atoms:
Cell lengths 10.634, 10.634, 10.937 Å; angles 90.36, 90.36, 37.06 degrees
Sites, in units of the cell vectors:
Na 0.016 0.984 0.500
Na 0.060 0.261 0.709
Na 0.067 0.585 0.650
Na 0.184 0.823 0.726
Na 0.261 0.060 0.209
Na 0.348 0.892 0.966
Na 0.465 0.673 0.389
Na 0.585 0.067 0.150
Na 0.673 0.465 0.889
Na 0.823 0.184 0.226
Na 0.892 0.348 0.466
Na 0.984 0.016 0.000
Mn 0.073 0.568 0.144
Mn 0.387 0.448 0.899
Mn 0.448 0.387 0.399
Mn 0.568 0.073 0.644
Mn 0.714 0.746 0.895
Mn 0.746 0.714 0.395
P 0.255 0.293 0.888
P 0.293 0.255 0.388
P 0.305 0.681 0.154
P 0.470 0.830 0.634
P 0.681 0.305 0.654
P 0.830 0.470 0.134
P 0.845 0.900 0.899
P 0.900 0.845 0.399
O 0.025 0.435 0.857
O 0.027 0.395 0.136
O 0.064 0.776 0.870
O 0.070 0.387 0.417
O 0.104 0.762 0.145
O 0.127 0.701 0.432
O 0.246 0.860 0.209
O 0.277 0.370 0.998
O 0.291 0.887 0.580
O 0.311 0.335 0.279
O 0.335 0.311 0.779
O 0.370 0.277 0.498
O 0.387 0.070 0.917
O 0.390 0.632 0.019
O 0.395 0.027 0.636
O 0.435 0.025 0.357
O 0.472 0.483 0.238
O 0.483 0.472 0.738
O 0.524 0.745 0.768
O 0.632 0.390 0.519
O 0.660 0.669 0.051
O 0.669 0.660 0.551
O 0.701 0.127 0.932
O 0.745 0.524 0.268
O 0.762 0.104 0.645
O 0.776 0.064 0.370
O 0.776 0.869 0.789
O 0.813 0.835 0.508
O 0.835 0.813 0.008
O 0.860 0.246 0.709
O 0.869 0.776 0.289
O 0.887 0.291 0.080

The 8 most intense peaks (2θ from 10° to 90°), low angle first:
2θ (°)  intensity
16.03  44
28.16  21
31.12  100
31.33  39
32.37  25
32.76  23
33.88  17
37.81  26

=====

Record 2
Diffraction record for Li2MnPCO7. The powder diffraction line list is theoretical, not measured: it uses a crystal structure in the Materials Project, relaxed with GGA+U and copper Kα.
Peak positions follow from Bragg's law for the DFT cell and can differ from measured ones.

Cell and atoms:
Cell lengths 9.561, 6.477, 10.034 Å; angles 90.00, 117.50, 90.00 degrees
Sites, in units of the cell vectors:
Li 0.000 0.008 0.000
Li 0.000 0.992 0.500
Li 0.374 0.284 0.215
Li 0.374 0.290 0.714
Li 0.374 0.710 0.214
Li 0.374 0.716 0.715
Li 0.844 0.218 0.183
Li 0.844 0.782 0.683
Mn 0.448 0.001 0.524
Mn 0.448 0.999 0.024
Mn 0.784 0.500 0.380
Mn 0.784 0.500 0.880
P 0.526 0.493 0.026
P 0.526 0.507 0.526
P 0.694 0.005 0.881
P 0.694 0.995 0.381
C 0.067 0.497 0.562
C 0.067 0.503 0.062
C 0.160 0.021 0.325
C 0.160 0.979 0.825
O 0.025 0.470 0.422
O 0.025 0.530 0.922
O 0.029 0.039 0.209
O 0.029 0.961 0.709
O 0.181 0.010 0.462
O 0.181 0.990 0.962
O 0.207 0.498 0.167
O 0.207 0.502 0.667
O 0.293 0.013 0.310
O 0.293 0.987 0.810
O 0.422 0.308 0.027
O 0.422 0.692 0.527
O 0.443 0.311 0.544
O 0.443 0.689 0.044
O 0.527 0.006 0.241
O 0.527 0.994 0.741
O 0.542 0.499 0.878
O 0.542 0.501 0.378
O 0.664 0.017 0.019
O 0.664 0.983 0.519
O 0.694 0.470 0.160
O 0.694 0.530 0.660
O 0.793 0.190 0.878
O 0.793 0.810 0.378
O 0.798 0.181 0.384
O 0.798 0.819 0.884
O 0.945 0.479 0.091
O 0.945 0.521 0.591

The 8 most intense peaks (2θ from 10° to 90°), low angle first:
2θ (°)  intensity
10.43  100
17.23  37
19.95  35
21.24  59
25.35  35
26.57  34
27.54  94
36.72  25